Structure and computed powder diffraction line list of TbSbS4 (a cell relaxed with GGA-PBE; Cu Kα X-rays).
Lines closer than 0.1° are merged.

Top 10 peaks for 15 to 90 degrees two-theta, by intensity:
| (hkl) | 2theta | I (rel.) |
| --- | --- | --- |
| 0 2 1 | 22.2 | 100 |
| 2 2 -1 | 25.4 | 79 |
| 0 0 2 | 35.9 | 37 |
| 2 4 -2 | 39.9 | 34 |
| 2 4 0 | 38.2 | 33 |
| 4 0 -2 | 44.1 | 26 |
| 2 2 -3 | 46.0 | 22 |
| 2 2 1 | 43.0 | 22 |
| 2 0 0 | 27.0 | 13 |
| 1 5 -1 | 36.5 | 12 |

Atomic structure:
abc: 8.2436 13.4596 6.2293
angles: 90.00 126.63 90.00
Space group C2/c (No. 15)
Symmetry-distinct sites (fractional):
Tb  0.0000  0.1338  0.2500 (multiplicity 4)
Sb  0.0000  0.4081  0.7500 (multiplicity 4)
S  0.1707  0.2799  0.6681 (multiplicity 8)
S  0.2499  0.0340  0.7570 (multiplicity 8)